(1)
Simulated PXRD pattern
Compound: V2Te2O9
Radiation: Cu Kα, 1.54184 Å
Structure: a structure optimized by DFT (GGA+U)
Lines closer than 0.1° are merged.

Peak list (10 most intense, 15 to 90 degrees two-theta, by intensity)
| 2θ (°) | d/Å | intensity | index |
| --- | --- | --- | --- |
| 25.25 | 3.527 | 100.0 | 0 2 2 |
| 19.62 | 4.524 | 42.0 | 0 1 2 |
| 28.11 | 3.174 | 29.9 | 2 1 1 |
| 30.50 | 2.931 | 25.6 | 2 2 0 |
| 30.12 | 2.967 | 25.5 | 2 1 -2 |
| 26.69 | 3.340 | 24.5 | 2 1 -1 |
| 31.29 | 2.859 | 24.2 | 2 0 2 |
| 21.89 | 4.061 | 23.9 | 1 2 0 |
| 36.88 | 2.437 | 19.1 | 0 4 0 |
| 48.96 | 1.860 | 18.4 | 2 2 4 |

Structural model:
a b c (Å): 7.3643 9.7536 10.2545
angles (deg): 90.00 95.16 90.00
Space group P2_1/c (No. 14)
Inequivalent atoms, fractional coordinates:
V  0.0051  0.2482  0.4593 x4
V  0.2922  0.0332  0.2681 x4
Te  0.1363  0.5187  0.2909 x4
Te  0.4475  0.7217  0.5631 x4
O  0.0652  0.1348  0.3088 x4
O  0.0810  0.1408  0.5748 x4
O  0.0947  0.5617  0.6734 x4
O  0.1657  0.6515  0.4308 x4
O  0.1948  0.1413  0.9473 x4
O  0.2378  0.6944  0.1259 x4
O  0.3507  0.5488  0.9028 x4
O  0.4127  0.1967  0.2826 x4
O  0.4444  0.5454  0.6480 x4

(2)
Simulated PXRD pattern
Compound: V2Te2O9
Radiation: Cu Kα, 1.54184 Å
Structure: a structure optimized by DFT (GGA+U)
Lines closer than 0.1° are merged.

Peak list (10 most intense, 15 to 90 degrees two-theta, by intensity)
| 2θ (°) | d/Å | intensity | index |
| --- | --- | --- | --- |
| 25.21 | 3.532 | 100.0 | 0 2 2 |
| 23.48 | 3.789 | 85.5 | 1 5 1 |
| 28.03 | 3.183 | 80.2 | 1 7 1 |
| 28.48 | 3.134 | 69.8 | 2 4 0 |
| 40.46 | 2.229 | 43.6 | 2 6 2 |
| 24.76 | 3.595 | 39.6 | 0 8 0 |
| 17.88 | 4.960 | 39.3 | 1 1 1 |
| 26.33 | 3.384 | 37.5 | 2 2 0 |
| 36.22 | 2.480 | 34.2 | 2 2 2 |
| 30.82 | 2.901 | 28.3 | 0 6 2 |

Structural model:
a b c (Å): 6.9644 28.7613 7.2877
angles (deg): 90.00 90.00 90.00
Space group Fdd2 (No. 43)
Inequivalent atoms, fractional coordinates:
V  0.0516  0.3411  0.0000 x16
Te  0.0704  0.2981  0.5455 x16
O  0.0000  0.0000  0.3766 x8
O  0.0071  0.4037  0.7931 x16
O  0.0193  0.1943  0.2891 x16
O  0.0369  0.3923  0.1734 x16
O  0.1051  0.2981  0.1386 x16

(3)
Simulated PXRD pattern
Compound: YVTe2O8
Radiation: Cu Kα, 1.54184 Å
Structure: a structure optimized by DFT (GGA+U)
Lines closer than 0.1° are merged.

Peak list (10 most intense, 15 to 90 degrees two-theta, by intensity)
| 2θ (°) | d/Å | intensity | index |
| --- | --- | --- | --- |
| 29.26 | 3.052 | 100.0 | 2 0 4 |
| 27.30 | 3.267 | 69.6 | 0 2 4 |
| 47.18 | 1.927 | 34.0 | 2 2 8 |
| 32.60 | 2.746 | 33.2 | 2 2 0 |
| 22.06 | 4.029 | 29.4 | 0 2 1 |
| 33.13 | 2.704 | 28.2 | 0 0 8 |
| 24.98 | 3.564 | 23.1 | 0 2 3 |
| 32.87 | 2.725 | 20.7 | 2 2 1 |
| 57.25 | 1.609 | 18.5 | 4 2 4 |
| 49.28 | 1.849 | 18.2 | 4 0 0 |

Structural model:
a b c (Å): 7.3965 8.2016 21.6256
angles (deg): 90.00 90.00 90.00
Space group Cmce (No. 64)
Inequivalent atoms, fractional coordinates:
Y  0.2486  0.0000  0.0000 x8
V  0.2500  0.0053  0.2500 x8
Te  0.0000  0.1782  0.8664 x8
Te  0.0000  0.1886  0.6114 x8
O  0.0000  0.0158  0.4325 x8
O  0.0000  0.0294  0.7337 x8
O  0.0000  0.0649  0.9420 x8
O  0.1966  0.2438  0.0596 x16
O  0.1983  0.0426  0.8362 x16
O  0.2500  0.2069  0.2500 x8